No. 1
Diffraction record for Cd8Te. The X-ray diffraction stick pattern is theoretical, not measured: it uses the GGA-PBE geometry in Alexandria and Cu Kα (λ = 1.5418 Å).
No peak broadening, texture or thermal motion is included.

The 6 most intense peaks (10° ≤ 2θ ≤ 90°), in order of falling intensity:
d/Å  I (rel.)
2.649  100.0
2.318  33.7
1.394  24.4
1.614  21.0
2.248  15.7
1.363  11.8

Atomic structure:
Lattice parameters (Å, degrees): 7.3082 7.3082 7.3082 95.43 95.43 144.18
Sites, in units of the cell vectors:
Cd 0.0000 0.3386 0.3386
Cd 0.0000 0.6614 0.6614
Cd 0.3259 0.3259 0.6519
Cd 0.3259 0.6741 0.0000
Cd 0.3386 0.0000 0.3386
Cd 0.6614 0.0000 0.6614
Cd 0.6741 0.3259 0.0000
Cd 0.6741 0.6741 0.3481
Te 0.0000 0.0000 0.0000

=====

No. 2
Diffraction record for VNi2HPd. The X-ray diffraction stick pattern is theoretical, not measured: it uses the GGA-PBE geometry in Alexandria and Cu Kα (λ = 1.5418 Å).
No peak broadening, texture or thermal motion is included.

The 6 most intense peaks (10° ≤ 2θ ≤ 90°), in order of falling intensity:
d/Å  I (rel.)
2.164  100.0
1.848  30.6
1.119  21.7
1.335  19.4
1.929  17.6
1.154  11.9

Atomic structure:
Lattice parameters (Å, degrees): 3.6967 3.6967 3.8580 90.00 90.00 90.00
Sites, in units of the cell vectors:
V 0.0000 0.0000 0.0000
Ni 0.0000 0.5000 0.5000
Ni 0.5000 0.0000 0.5000
H 0.0000 0.0000 0.5000
Pd 0.5000 0.5000 0.0000

=====

No. 3
Diffraction record for Y3Tl3Cd2. The X-ray diffraction stick pattern is theoretical, not measured: it uses the GGA-PBE geometry in Alexandria and Cu Kα (λ = 1.5418 Å).
No peak broadening, texture or thermal motion is included.

The 6 most intense peaks (10° ≤ 2θ ≤ 90°), in order of falling intensity:
d/Å  I (rel.)
2.742  100.0
2.711  71.4
2.178  45.7
2.391  38.7
2.561  30.6
1.501  25.4

Atomic structure:
Lattice parameters (Å, degrees): 8.2824 8.2824 3.6587 90.00 90.00 120.00
Sites, in units of the cell vectors:
Y 0.0000 0.6291 0.0000
Y 0.3709 0.3709 0.0000
Y 0.6291 0.0000 0.0000
Tl 0.0000 0.2547 0.5000
Tl 0.2547 0.0000 0.5000
Tl 0.7453 0.7453 0.5000
Cd 0.3333 0.6667 0.5000
Cd 0.6667 0.3333 0.5000